Entry 1:
Starting from a PBE-relaxed structure, the PXRD pattern of Y2MgBi2O7 was calculated for CuKα.
Lines closer than 0.1° are merged.

Atomic structure:
Cell: 6.056 6.056 6.506 Å, 93.09 93.09 107.67°
Atoms (fractional coordinates):
Y  0.179  0.821  0.000
Y  0.821  0.179  0.000
Mg  0.641  0.641  0.885
Bi  0.233  0.233  0.626
Bi  0.760  0.760  0.372
O  0.043  0.043  0.223
O  0.114  0.444  0.847
O  0.444  0.114  0.847
O  0.527  0.527  0.598
O  0.540  0.826  0.122
O  0.826  0.540  0.122
O  0.909  0.909  0.798

Peak list (10 most intense, 15° ≤ 2θ ≤ 90°, by intensity)
Position (°2θ), intensity
22.79, 1000
21.40, 859
32.73, 705
18.15, 624
31.09, 617
42.10, 608
30.65, 568
19.87, 469
40.34, 415
27.48, 347

Entry 2:
Starting from a PBE-relaxed structure, the PXRD pattern of Y2MgBi2O7 was calculated for CuKα.
Lines closer than 0.1° are merged.

Atomic structure:
Cell: 5.698 6.317 6.549 Å, 112.50 103.32 108.11°
Atoms (fractional coordinates):
Y  0.000  0.000  0.000
Y  0.113  0.334  0.643
Mg  0.488  0.896  0.133
Bi  0.389  0.865  0.564
Bi  0.732  0.489  0.088
O  0.119  0.693  0.864
O  0.271  0.049  0.360
O  0.326  0.187  0.876
O  0.555  0.706  0.306
O  0.591  0.671  0.869
O  0.799  0.156  0.776
O  0.842  0.214  0.269

Peak list (10 most intense, 15° ≤ 2θ ≤ 90°, by intensity)
Position (°2θ), intensity
29.79, 1000
25.25, 883
32.29, 883
28.48, 754
18.64, 714
16.63, 668
30.40, 663
23.60, 477
37.13, 470
41.62, 375

Entry 3:
Starting from a PBE-relaxed structure, the PXRD pattern of Y4MgBi4O12 was calculated for CuKα.
Lines closer than 0.1° are merged.

Atomic structure:
Cell: 6.110 8.394 6.524 Å, 90.00 90.43 90.00°
Atoms (fractional coordinates):
Y  0.000  0.000  0.000
Y  0.031  0.500  0.875
Y  0.494  0.000  0.357
Y  0.541  0.500  0.411
Mg  0.978  0.000  0.573
Bi  0.066  0.315  0.367
Bi  0.066  0.685  0.367
Bi  0.518  0.235  0.850
Bi  0.518  0.765  0.850
O  0.129  0.000  0.304
O  0.186  0.156  0.759
O  0.186  0.844  0.759
O  0.335  0.500  0.682
O  0.414  0.278  0.264
O  0.414  0.722  0.264
O  0.620  0.000  0.026
O  0.699  0.154  0.583
O  0.699  0.846  0.583
O  0.825  0.500  0.615
O  0.912  0.288  0.058
O  0.912  0.712  0.058

Peak list (10 most intense, 15° ≤ 2θ ≤ 90°, by intensity)
Position (°2θ), intensity
29.19, 1000
29.27, 581
27.34, 375
34.87, 273
19.83, 211
51.75, 174
19.99, 167
40.61, 156
40.30, 146
49.61, 126

Entry 4:
Starting from a PBE-relaxed structure, the PXRD pattern of MgZn2Bi3O8 was calculated for CuKα.
Lines closer than 0.1° are merged.

Atomic structure:
Cell: 6.476 6.476 5.907 Å, 110.08 110.08 63.99°
Atoms (fractional coordinates):
Mg  0.000  0.000  0.000
Zn  0.113  0.113  0.518
Zn  0.442  0.442  0.772
Bi  0.049  0.528  0.121
Bi  0.528  0.049  0.121
Bi  0.661  0.661  0.515
O  0.120  0.635  0.839
O  0.140  0.140  0.858
O  0.343  0.920  0.299
O  0.443  0.443  0.421
O  0.635  0.120  0.839
O  0.651  0.651  0.910
O  0.913  0.913  0.294
O  0.920  0.343  0.299

Peak list (10 most intense, 15° ≤ 2θ ≤ 90°, by intensity)
Position (°2θ), intensity
30.87, 1000
31.58, 672
28.76, 633
30.59, 628
17.66, 533
32.15, 510
32.68, 483
44.72, 408
53.73, 307
18.63, 306

Entry 5:
Starting from a PBE-relaxed structure, the PXRD pattern of MgZn2Bi4O10 was calculated for CuKα.
Lines closer than 0.1° are merged.

Atomic structure:
Cell: 4.487 11.070 5.738 Å, 90.00 112.30 90.00°
Atoms (fractional coordinates):
Mg  0.000  0.000  0.000
Zn  0.256  0.000  0.625
Zn  0.652  0.500  0.411
Bi  0.278  0.322  0.767
Bi  0.278  0.678  0.767
Bi  0.592  0.178  0.338
Bi  0.592  0.822  0.338
O  0.084  0.126  0.319
O  0.084  0.874  0.319
O  0.155  0.500  0.575
O  0.333  0.122  0.926
O  0.333  0.878  0.926
O  0.493  0.364  0.155
O  0.493  0.636  0.155
O  0.718  0.000  0.620
O  0.718  0.328  0.662
O  0.718  0.672  0.662

Peak list (10 most intense, 15° ≤ 2θ ≤ 90°, by intensity)
Position (°2θ), intensity
29.48, 1000
21.60, 514
32.46, 485
32.60, 350
32.01, 344
21.41, 339
40.20, 333
16.01, 266
32.41, 261
50.82, 242

Entry 6:
Starting from a PBE-relaxed structure, the PXRD pattern of MgZn2Bi3O8 was calculated for CuKα.
Lines closer than 0.1° are merged.

Atomic structure:
Cell: 5.386 6.502 6.623 Å, 100.43 111.98 90.88°
Atoms (fractional coordinates):
Mg  0.000  0.000  0.000
Zn  0.384  0.743  0.838
Zn  0.616  0.257  0.162
Bi  0.000  0.500  0.000
Bi  0.285  0.186  0.566
Bi  0.715  0.814  0.434
O  0.134  0.954  0.712
O  0.171  0.454  0.731
O  0.267  0.267  0.179
O  0.298  0.792  0.120
O  0.702  0.208  0.880
O  0.733  0.733  0.821
O  0.829  0.546  0.269
O  0.866  0.046  0.288

Peak list (10 most intense, 15° ≤ 2θ ≤ 90°, by intensity)
Position (°2θ), intensity
23.85, 1000
23.68, 798
31.96, 783
18.13, 767
32.47, 685
28.52, 653
33.29, 644
27.30, 573
29.50, 504
28.18, 501

Entry 7:
Starting from a PBE-relaxed structure, the PXRD pattern of MgZn2Bi4O12 was calculated for CuKα.
Lines closer than 0.1° are merged.

Atomic structure:
Cell: 6.144 6.170 7.801 Å, 92.03 90.31 98.89°
Atoms (fractional coordinates):
Mg  0.000  0.000  0.000
Zn  0.234  0.247  0.311
Zn  0.614  0.603  0.698
Bi  0.091  0.708  0.425
Bi  0.150  0.586  0.909
Bi  0.577  0.182  0.934
Bi  0.709  0.117  0.425
O  0.011  0.352  0.483
O  0.144  0.528  0.192
O  0.288  0.669  0.655
O  0.292  0.921  0.981
O  0.352  0.971  0.388
O  0.466  0.489  0.922
O  0.562  0.291  0.232
O  0.586  0.271  0.645
O  0.782  0.796  0.525
O  0.864  0.730  0.873
O  0.953  0.999  0.251
O  0.957  0.272  0.899

Peak list (10 most intense, 15° ≤ 2θ ≤ 90°, by intensity)
Position (°2θ), intensity
22.81, 1000
22.22, 898
32.55, 660
18.98, 655
31.54, 529
29.32, 432
29.54, 427
29.43, 417
30.13, 371
33.02, 359

Entry 8:
Starting from a PBE-relaxed structure, the PXRD pattern of MgZn2Bi3O8 was calculated for CuKα.
Lines closer than 0.1° are merged.

Atomic structure:
Cell: 5.967 6.721 6.726 Å, 62.08 80.75 80.73°
Atoms (fractional coordinates):
Mg  0.000  0.000  0.000
Zn  0.241  0.787  0.771
Zn  0.760  0.230  0.211
Bi  0.000  0.489  0.511
Bi  0.500  0.235  0.765
Bi  0.500  0.773  0.228
O  0.186  0.120  0.676
O  0.206  0.692  0.098
O  0.289  0.634  0.596
O  0.293  0.101  0.095
O  0.707  0.904  0.900
O  0.713  0.405  0.366
O  0.795  0.903  0.308
O  0.814  0.325  0.880

Peak list (10 most intense, 15° ≤ 2θ ≤ 90°, by intensity)
Position (°2θ), intensity
15.66, 1000
31.63, 693
29.94, 529
35.32, 438
22.38, 426
46.28, 307
32.53, 222
28.68, 199
55.06, 193
37.10, 191

Entry 9:
Starting from a PBE-relaxed structure, the PXRD pattern of MgZn2Bi4O12 was calculated for CuKα.
Lines closer than 0.1° are merged.

Atomic structure:
Cell: 5.516 5.737 8.242 Å, 85.44 89.77 89.90°
Atoms (fractional coordinates):
Mg  0.000  0.000  0.000
Zn  0.036  0.086  0.484
Zn  0.474  0.506  0.955
Bi  0.025  0.536  0.255
Bi  0.520  0.036  0.260
Bi  0.523  0.073  0.740
Bi  0.996  0.566  0.722
O  0.155  0.652  0.018
O  0.174  0.944  0.696
O  0.194  0.845  0.340
O  0.316  0.309  0.356
O  0.368  0.146  0.021
O  0.374  0.417  0.727
O  0.681  0.978  0.508
O  0.685  0.769  0.857
O  0.719  0.753  0.171
O  0.828  0.241  0.841
O  0.853  0.219  0.180
O  0.894  0.425  0.489

Peak list (10 most intense, 15° ≤ 2θ ≤ 90°, by intensity)
Position (°2θ), intensity
22.39, 1000
32.21, 753
21.63, 527
30.50, 468
30.38, 430
31.28, 401
32.47, 354
45.71, 351
52.27, 217
44.09, 170

Entry 10:
Starting from a PBE-relaxed structure, the PXRD pattern of MgZn2Bi4O12 was calculated for CuKα.
Lines closer than 0.1° are merged.

Atomic structure:
Cell: 5.566 5.835 8.213 Å, 88.81 88.65 89.59°
Atoms (fractional coordinates):
Mg  0.000  0.000  0.000
Zn  0.022  0.927  0.504
Zn  0.499  0.400  0.000
Bi  0.028  0.437  0.259
Bi  0.042  0.448  0.753
Bi  0.526  0.911  0.241
Bi  0.527  0.926  0.751
O  0.022  0.582  0.514
O  0.133  0.340  0.997
O  0.188  0.096  0.683
O  0.200  0.073  0.318
O  0.372  0.938  0.994
O  0.402  0.568  0.222
O  0.404  0.577  0.768
O  0.664  0.955  0.500
O  0.715  0.207  0.152
O  0.731  0.224  0.828
O  0.860  0.760  0.834
O  0.870  0.768  0.177

Peak list (10 most intense, 15° ≤ 2θ ≤ 90°, by intensity)
Position (°2θ), intensity
30.61, 1000
31.17, 962
21.65, 618
22.00, 582
22.15, 562
32.17, 458
31.55, 446
44.13, 237
55.27, 227
54.10, 227

Entry 11:
Starting from a PBE-relaxed structure, the PXRD pattern of MgZr2Bi2O8 was calculated for CuKα.
Lines closer than 0.1° are merged.

Atomic structure:
Cell: 8.219 8.219 5.404 Å, 105.76 105.76 129.55°
Atoms (fractional coordinates):
Mg  0.000  0.000  0.000
Zr  0.158  0.842  0.500
Zr  0.804  0.196  0.000
Bi  0.333  0.667  0.000
Bi  0.650  0.350  0.500
O  0.008  0.482  0.493
O  0.112  0.306  0.016
O  0.232  0.090  0.397
O  0.458  0.047  0.978
O  0.518  0.992  0.507
O  0.694  0.888  0.984
O  0.910  0.768  0.603
O  0.953  0.542  0.022

Peak list (10 most intense, 15° ≤ 2θ ≤ 90°, by intensity)
Position (°2θ), intensity
24.50, 1000
28.17, 545
35.20, 472
32.28, 250
50.29, 234
52.25, 215
24.38, 209
49.96, 196
33.19, 194
43.46, 185

Entry 12:
Starting from a PBE-relaxed structure, the PXRD pattern of RbMg14Bi was calculated for CuKα.
Lines closer than 0.1° are merged.

Atomic structure:
Cell: 10.682 6.638 6.638 Å, 60.07 90.00 90.00°
Atoms (fractional coordinates):
Rb  0.000  0.000  0.000
Mg  0.000  0.007  0.496
Mg  0.000  0.496  0.007
Mg  0.250  0.671  0.671
Mg  0.266  0.174  0.174
Mg  0.267  0.171  0.658
Mg  0.267  0.658  0.171
Mg  0.500  0.001  0.001
Mg  0.500  0.502  0.998
Mg  0.500  0.503  0.503
Mg  0.500  0.998  0.502
Mg  0.733  0.171  0.658
Mg  0.733  0.658  0.171
Mg  0.734  0.174  0.174
Mg  0.750  0.671  0.671
Bi  0.000  0.496  0.496

Peak list (10 most intense, 15° ≤ 2θ ≤ 90°, by intensity)
Position (°2θ), intensity
35.46, 1000
17.52, 472
31.11, 323
15.41, 306
22.73, 270
32.24, 242
33.56, 241
46.41, 213
66.30, 191
61.24, 187